Structure and theoretical powder diffractogram of HfPaN (a crystal structure in Alexandria, relaxed with GGA-PBE; λ = 1.5418 Å (Cu Kα)).
No peak broadening, texture or thermal motion is included.

Crystal structure
abc: 3.2339 3.2339 11.4324
angles: 90.00 90.00 120.00
Fractional coordinates of all 6 atoms:
Hf 0.0000 0.0000 0.2504
Hf 0.0000 0.0000 0.7496
Pa 0.6667 0.3333 0.0000
Pa 0.6667 0.3333 0.5000
N 0.3333 0.6667 0.1436
N 0.3333 0.6667 0.8564

Principal peaks in the range 2θ = 10–90°, by intensity:
2.515 Å, 2θ 35.70, intensity 100.0, (1 0 2)
2.858 Å, 2θ 31.30, intensity 29.2, (0 0 4)
1.575 Å, 2θ 58.60, intensity 24.5, (1 0 6)
1.407 Å, 2θ 66.43, intensity 21.5, (1 1 4)
2.801 Å, 2θ 31.96, intensity 20.2, (1 0 0)
2.000 Å, 2θ 45.34, intensity 19.9, (1 0 4)
1.617 Å, 2θ 56.95, intensity 18.6, (1 1 0)
1.360 Å, 2θ 69.06, intensity 15.1, (2 0 2)
1.128 Å, 2θ 86.19, intensity 8.6, (2 0 6)
1.257 Å, 2θ 75.62, intensity 4.4, (2 0 4)
1.273 Å, 2θ 74.55, intensity 4.0, (1 0 8)
1.429 Å, 2θ 65.29, intensity 4.0, (0 0 8)